Record 1
Structure and theoretical PXRD pattern of K6BiH3Cl8F4 (a crystal structure in the Materials Project, relaxed with PBE; Cu Kα).

Principal peaks in the range 2θ = 10–90°, low angle first:
Position (°2θ)  I/Imax
11.1  100
12.0  28
16.4  99
22.7  51
25.4  91
28.8  78
33.1  89
38.6  39
39.0  78
43.3  39

Crystal structure
Lattice parameters (Å, degrees): 9.2272 9.2272 14.7252 90.00 90.00 120.00
Element x y z (fractional)
K 0.0049 0.5024 0.0000
K 0.1788 0.3575 0.2541
K 0.1788 0.8212 0.2541
K 0.3575 0.1788 0.7541
K 0.4976 0.5024 0.0000
K 0.4976 0.9951 0.0000
K 0.5024 0.0049 0.5000
K 0.5024 0.4976 0.5000
K 0.6425 0.8212 0.2541
K 0.8212 0.1788 0.7541
K 0.8212 0.6425 0.7541
K 0.9951 0.4976 0.5000
Bi 0.0000 0.0000 0.0062
Bi 0.0000 0.0000 0.5062
H 0.1594 0.5797 0.7527
H 0.4203 0.5797 0.7527
H 0.4203 0.8406 0.7527
H 0.5797 0.1594 0.2527
H 0.5797 0.4203 0.2527
H 0.8406 0.4203 0.2527
Cl 0.1394 0.2788 0.6132
Cl 0.1394 0.8606 0.6132
Cl 0.1406 0.2812 0.8989
Cl 0.1406 0.8594 0.8989
Cl 0.2788 0.1394 0.1132
Cl 0.2812 0.1406 0.3989
Cl 0.3333 0.6667 0.1100
Cl 0.3333 0.6667 0.3975
Cl 0.6667 0.3333 0.6100
Cl 0.6667 0.3333 0.8975
Cl 0.7188 0.8594 0.8989
Cl 0.7212 0.8606 0.6132
Cl 0.8594 0.1406 0.3989
Cl 0.8594 0.7188 0.3989
Cl 0.8606 0.1394 0.1132
Cl 0.8606 0.7212 0.1132
F 0.0336 0.5168 0.7455
F 0.3333 0.6667 0.7637
F 0.4832 0.5168 0.7455
F 0.4832 0.9664 0.7455
F 0.5168 0.0336 0.2455
F 0.5168 0.4832 0.2455
F 0.6667 0.3333 0.2637
F 0.9664 0.4832 0.2455

***

Record 2
Structure and theoretical PXRD pattern of Ga3Bi5Cl12 (a crystal structure in the Materials Project, relaxed with PBE; Cu Kα).

Principal peaks in the range 2θ = 10–90°, low angle first:
Position (°2θ)  I/Imax
10.2  100
14.7  26
17.9  37
22.7  26
30.3  20
30.9  27
31.0  39
34.4  16
34.8  17
44.4  17

Crystal structure
Lattice parameters (Å, degrees): 12.4436 12.4436 12.4436 58.13 58.13 58.13
Element x y z (fractional)
Ga 0.2290 0.7500 0.2710
Ga 0.2500 0.7290 0.7710
Ga 0.2710 0.2290 0.7500
Ga 0.7290 0.7710 0.2500
Ga 0.7500 0.2710 0.2290
Ga 0.7710 0.2500 0.7290
Bi 0.0931 0.4069 0.2500
Bi 0.1721 0.1721 0.1721
Bi 0.2500 0.0931 0.4069
Bi 0.3279 0.3279 0.3279
Bi 0.4069 0.2500 0.0931
Bi 0.5931 0.7500 0.9069
Bi 0.6721 0.6721 0.6721
Bi 0.7500 0.9069 0.5931
Bi 0.8279 0.8279 0.8279
Bi 0.9069 0.5931 0.7500
Cl 0.0447 0.9263 0.3074
Cl 0.0737 0.6926 0.9553
Cl 0.1042 0.2747 0.6981
Cl 0.1926 0.5737 0.4553
Cl 0.1981 0.7747 0.6042
Cl 0.2253 0.3958 0.8019
Cl 0.2747 0.6981 0.1042
Cl 0.3019 0.8958 0.7253
Cl 0.3074 0.0447 0.9263
Cl 0.3958 0.8019 0.2253
Cl 0.4263 0.5447 0.8074
Cl 0.4553 0.1926 0.5737
Cl 0.5447 0.8074 0.4263
Cl 0.5737 0.4553 0.1926
Cl 0.6042 0.1981 0.7747
Cl 0.6926 0.9553 0.0737
Cl 0.6981 0.1042 0.2747
Cl 0.7253 0.3019 0.8958
Cl 0.7747 0.6042 0.1981
Cl 0.8019 0.2253 0.3958
Cl 0.8074 0.4263 0.5447
Cl 0.8958 0.7253 0.3019
Cl 0.9263 0.3074 0.0447
Cl 0.9553 0.0737 0.6926

***

Record 3
Structure and theoretical PXRD pattern of Ga3Bi5Cl12 (a crystal structure in the Materials Project, relaxed with PBE; Cu Kα).

Principal peaks in the range 2θ = 10–90°, low angle first:
Position (°2θ)  I/Imax
10.2  100
14.7  26
17.9  37
22.7  26
30.3  20
30.9  48
31.0  19
34.4  17
34.8  17
44.4  21

Crystal structure
Lattice parameters (Å, degrees): 12.4564 12.4564 12.4564 57.97 57.97 57.97
Element x y z (fractional)
Ga 0.0022 0.4772 0.5206
Ga 0.0206 0.9772 0.5022
Ga 0.4772 0.5206 0.0022
Ga 0.5022 0.0206 0.9772
Ga 0.5206 0.0022 0.4772
Ga 0.9772 0.5022 0.0206
Bi 0.0784 0.0784 0.0784
Bi 0.1597 0.9978 0.8447
Bi 0.3447 0.4978 0.6597
Bi 0.4231 0.4231 0.4231
Bi 0.4978 0.6597 0.3447
Bi 0.5784 0.5784 0.5784
Bi 0.6597 0.3447 0.4978
Bi 0.8447 0.1597 0.9978
Bi 0.9231 0.9231 0.9231
Bi 0.9978 0.8447 0.1597
Cl 0.0243 0.4514 0.8527
Cl 0.0531 0.6426 0.4793
Cl 0.0540 0.7917 0.6784
Cl 0.1426 0.5531 0.9793
Cl 0.1784 0.2917 0.5540
Cl 0.2049 0.9415 0.3247
Cl 0.2917 0.5540 0.1784
Cl 0.3247 0.2049 0.9415
Cl 0.3527 0.9514 0.5243
Cl 0.4415 0.7049 0.8247
Cl 0.4514 0.8527 0.0243
Cl 0.4793 0.0531 0.6426
Cl 0.5243 0.3527 0.9514
Cl 0.5531 0.9793 0.1426
Cl 0.5540 0.1784 0.2917
Cl 0.6426 0.4793 0.0531
Cl 0.6784 0.0540 0.7917
Cl 0.7049 0.8247 0.4415
Cl 0.7917 0.6784 0.0540
Cl 0.8247 0.4415 0.7049
Cl 0.8527 0.0243 0.4514
Cl 0.9415 0.3247 0.2049
Cl 0.9514 0.5243 0.3527
Cl 0.9793 0.1426 0.5531

***

Record 4
Structure and theoretical PXRD pattern of Hg3Bi2S2Cl8 (a crystal structure in the Materials Project, relaxed with PBE; Cu Kα).

Principal peaks in the range 2θ = 10–90°, low angle first:
Position (°2θ)  I/Imax
15.2  50
19.3  100
19.5  41
20.8  70
25.7  79
27.4  61
27.9  57
32.2  38
36.1  42
37.0  74

Crystal structure
Lattice parameters (Å, degrees): 7.6487 7.6487 9.5249 112.79 112.79 59.37
Element x y z (fractional)
Hg 0.0000 0.0000 0.0000
Hg 0.0000 0.5000 0.0000
Hg 0.5000 0.0000 0.0000
Bi 0.3733 0.3733 0.5739
Bi 0.6267 0.6267 0.4261
S 0.1248 0.1248 0.8752
S 0.8752 0.8752 0.1248
Cl 0.0406 0.5725 0.7104
Cl 0.2605 0.7395 0.5000
Cl 0.4275 0.9594 0.2896
Cl 0.4511 0.4511 0.1500
Cl 0.5489 0.5489 0.8500
Cl 0.5725 0.0406 0.7104
Cl 0.7395 0.2605 0.5000
Cl 0.9594 0.4275 0.2896